Entry 1:
Diffraction record for Ac3IrI3. The X-ray diffraction stick pattern is calculated, not measured: it uses the GGA-PBE geometry in Alexandria and Cu Ka.

Principal peaks in the range 10 to 80 degrees two-theta, sorted by position:
2θ 10.78, 8.210 Å, rel. 14
2θ 26.93, 3.311 Å, rel. 100
2θ 35.92, 2.500 Å, rel. 10
2θ 37.69, 2.387 Å, rel. 21
2θ 39.23, 2.297 Å, rel. 23
2θ 40.82, 2.211 Å, rel. 13
2θ 44.67, 2.029 Å, rel. 7
2θ 49.60, 1.838 Å, rel. 13
2θ 55.51, 1.655 Å, rel. 9
2θ 63.85, 1.458 Å, rel. 7

Structure:
```
Ac3IrI3
1.0
10.0164 0.0000 0.0000
0.0000 4.4217 0.0000
-0.7700 0.0000 13.2289
Ac Ir I
6 2 6
Cartesian
0.5567 1.1054 5.2164
0.5685 1.1054 11.1457
2.6996 3.3163 8.2601
6.5468 1.1054 4.9689
8.6779 3.3163 2.0833
8.6897 3.3163 8.0125
0.7114 1.1054 8.2400
8.5350 3.3163 4.9889
1.2731 1.1054 1.5120
3.1335 3.3163 11.6565
3.6179 3.3163 4.8912
5.6285 1.1054 8.3377
6.1129 1.1054 1.5724
7.9733 3.3163 11.7169
```



Entry 2:
Diffraction record for Ac7IrI12. The X-ray diffraction stick pattern is calculated, not measured: it uses the GGA-PBE geometry in Alexandria and Cu Ka.

Principal peaks in the range 10 to 80 degrees two-theta, sorted by position:
2θ 10.45, 8.462 Å, rel. 47
2θ 26.30, 3.388 Å, rel. 100
2θ 30.34, 2.946 Å, rel. 18
2θ 36.72, 2.448 Å, rel. 40
2θ 38.35, 2.347 Å, rel. 37
2θ 47.11, 1.929 Å, rel. 18
2θ 54.14, 1.694 Å, rel. 11
2θ 60.01, 1.542 Å, rel. 10
2θ 62.30, 1.490 Å, rel. 14
2θ 68.28, 1.374 Å, rel. 9

Structure:
```
Ac7IrI12
1.0
8.4616 4.8853 4.0890
-8.4616 4.8853 4.0890
0.0000 -9.7707 4.0890
Ac Ir I
7 1 12
Cartesian
0.0000 0.0000 0.0000
-1.6715 -1.7951 4.4610
-0.7188 2.3451 4.4610
2.3903 -0.5500 4.4610
-2.3903 0.5500 7.8060
0.7188 -2.3451 7.8060
1.6715 1.7951 7.8060
0.0000 0.0000 6.1335
-2.5070 0.6120 2.0297
0.7235 -2.4772 2.0297
-4.6604 -1.1662 5.9204
-1.3203 -4.6191 6.3466
1.7835 1.8651 2.0297
-3.3401 3.4529 6.3466
3.3401 -3.4529 5.9204
-1.7836 -1.8651 10.2373
1.3203 4.6191 5.9204
4.6604 1.1662 6.3466
-0.7235 2.4772 10.2373
2.5070 -0.6120 10.2373
```



Entry 3:
Diffraction record for Ac2IrI3. The X-ray diffraction stick pattern is calculated, not measured: it uses the GGA-PBE geometry in Alexandria and Cu Ka.

Principal peaks in the range 10 to 80 degrees two-theta, sorted by position:
2θ 22.17, 4.010 Å, rel. 100
2θ 23.53, 3.781 Å, rel. 50
2θ 27.11, 3.289 Å, rel. 60
2θ 28.07, 3.178 Å, rel. 41
2θ 28.80, 3.100 Å, rel. 48
2θ 28.98, 3.081 Å, rel. 38
2θ 33.66, 2.663 Å, rel. 33
2θ 35.59, 2.522 Å, rel. 36
2θ 37.19, 2.418 Å, rel. 74
2θ 38.08, 2.363 Å, rel. 57

Structure:
```
Ac2IrI3
1.0
9.7363 -2.3629 0.0000
9.7363 2.3629 0.0000
-6.6642 0.0000 11.0408
Ac Ir I
4 2 6
Cartesian
-1.0503 0.0000 4.8014
5.7381 0.0000 2.3008
7.0703 0.0000 8.7400
13.8587 0.0000 6.2395
-2.9123 0.0000 6.9835
15.7208 0.0000 4.0573
3.0888 0.0000 0.1195
2.7062 0.0000 4.2082
3.6220 0.0000 8.5999
9.1865 0.0000 2.4409
10.1022 0.0000 6.8326
9.7196 0.0000 10.9214
```



Entry 4:
Diffraction record for Ac8Ni3IrI4. The X-ray diffraction stick pattern is calculated, not measured: it uses the GGA-PBE geometry in Alexandria and Cu Ka.

Principal peaks in the range 10 to 80 degrees two-theta, sorted by position:
2θ 10.25, 8.630 Å, rel. 19
2θ 24.50, 3.634 Å, rel. 14
2θ 27.29, 3.268 Å, rel. 100
2θ 29.22, 3.056 Å, rel. 24
2θ 31.09, 2.877 Å, rel. 14
2θ 33.88, 2.646 Å, rel. 19
2θ 36.53, 2.460 Å, rel. 22
2θ 41.22, 2.190 Å, rel. 14
2θ 41.35, 2.184 Å, rel. 28
2θ 52.56, 1.741 Å, rel. 13

Structure:
```
Ac8Ni3IrI4
1.0
7.5564 -4.3806 0.0000
7.5564 4.3806 0.0000
-5.0439 0.0000 8.6295
Ac Ni Ir I
8 3 1 4
Cartesian
-0.0147 0.0000 5.8987
3.7653 2.1953 5.8949
6.3037 2.1953 2.7346
2.5285 0.0000 2.7601
7.5405 0.0000 5.8694
3.7653 -2.1953 5.8949
6.3037 -2.1953 2.7346
10.0837 0.0000 2.7308
1.2563 2.1903 4.3148
1.2563 -2.1903 4.3148
5.0345 0.0000 4.3148
-2.5220 0.0000 4.3148
0.0000 0.0000 0.0000
3.7782 2.1903 0.0000
3.7782 -2.1903 0.0000
7.5564 0.0000 0.0000
```



Entry 5:
Diffraction record for Ac6Ir2PdI2. The X-ray diffraction stick pattern is calculated, not measured: it uses the GGA-PBE geometry in Alexandria and Cu Ka.

Principal peaks in the range 10 to 80 degrees two-theta, sorted by position:
2θ 10.37, 8.534 Å, rel. 46
2θ 27.09, 3.292 Å, rel. 100
2θ 33.82, 2.650 Å, rel. 18
2θ 33.92, 2.643 Å, rel. 9
2θ 36.63, 2.454 Å, rel. 16
2θ 40.68, 2.218 Å, rel. 27
2θ 40.80, 2.212 Å, rel. 14
2θ 45.65, 1.987 Å, rel. 11
2θ 49.68, 1.835 Å, rel. 13
2θ 65.98, 1.416 Å, rel. 11

Structure:
```
Ac6Ir2PdI2
1.0
3.8455 -6.6349 0.0000
3.8455 6.6349 0.0000
-2.5150 0.0000 8.5342
Ac Ir Pd I
6 2 1 2
Cartesian
-0.0010 2.2577 6.9462
1.1889 0.0000 1.5878
-0.0010 -2.2577 6.9462
5.1770 2.2577 1.5879
3.9871 0.0000 6.9463
5.1770 -2.2577 1.5879
3.8455 4.3938 0.0000
3.8455 -4.3938 0.0000
3.8455 0.0000 0.0000
2.5880 2.2013 4.2671
2.5880 -2.2013 4.2671
```



Entry 6:
Diffraction record for Ac8Ir3PtI4. The X-ray diffraction stick pattern is calculated, not measured: it uses the GGA-PBE geometry in Alexandria and Cu Ka.

Principal peaks in the range 10 to 80 degrees two-theta, sorted by position:
2θ 10.25, 8.628 Å, rel. 35
2θ 27.07, 3.294 Å, rel. 100
2θ 33.70, 2.659 Å, rel. 22
2θ 36.36, 2.471 Å, rel. 26
2θ 40.84, 2.209 Å, rel. 41
2θ 45.24, 2.005 Å, rel. 14
2θ 49.69, 1.835 Å, rel. 19
2θ 52.21, 1.752 Å, rel. 9
2θ 66.20, 1.412 Å, rel. 16
2θ 79.53, 1.205 Å, rel. 9

Structure:
```
Ac8Ir3PtI4
1.0
7.6522 -4.4199 0.0000
7.6522 4.4199 0.0000
-5.0914 0.0000 8.6285
Ac Ir Pt I
8 3 1 4
Cartesian
3.8113 2.2510 5.9016
0.0083 0.0000 5.9048
2.5067 0.0000 2.7323
6.4016 2.2510 2.7269
3.8113 -2.2510 5.9016
7.7062 0.0000 5.8962
10.2046 0.0000 2.7237
6.4016 -2.2510 2.7269
-2.5457 0.0000 4.3142
1.2804 2.2099 4.3142
1.2804 -2.2099 4.3142
5.1065 0.0000 4.3142
0.0000 0.0000 0.0000
3.8261 2.2099 0.0000
3.8261 -2.2099 0.0000
7.6522 0.0000 0.0000
```



Entry 7:
Diffraction record for Ac6Te2Ir3I. The X-ray diffraction stick pattern is calculated, not measured: it uses the GGA-PBE geometry in Alexandria and Cu Ka.

Principal peaks in the range 10 to 80 degrees two-theta, sorted by position:
2θ 10.89, 8.128 Å, rel. 20
2θ 27.54, 3.238 Å, rel. 100
2θ 34.85, 2.575 Å, rel. 13
2θ 37.75, 2.383 Å, rel. 32
2θ 40.89, 2.207 Å, rel. 39
2θ 47.41, 1.918 Å, rel. 10
2θ 49.98, 1.825 Å, rel. 13
2θ 56.86, 1.619 Å, rel. 10
2θ 62.09, 1.495 Å, rel. 8
2θ 66.56, 1.405 Å, rel. 11

Structure:
```
Ac6Te2Ir3I
1.0
10.3242 -2.2097 0.0000
10.3242 2.2097 0.0000
-3.2622 0.0000 9.0156
Ac Te Ir I
6 2 3 1
Cartesian
-0.4775 0.0000 1.9489
5.1672 0.0000 3.9778
4.1455 0.0000 8.0691
13.2407 0.0000 0.9466
12.2190 0.0000 5.0379
17.8638 0.0000 7.0667
0.6855 0.0000 7.4477
16.7007 0.0000 1.5679
2.3515 0.0000 2.9898
10.3242 0.0000 0.0000
15.0347 0.0000 6.0258
8.6931 0.0000 4.5078
```



Entry 8:
Diffraction record for Ac6ZnIr2I2. The X-ray diffraction stick pattern is calculated, not measured: it uses the GGA-PBE geometry in Alexandria and Cu Ka.

Principal peaks in the range 10 to 80 degrees two-theta, sorted by position:
2θ 10.50, 8.428 Å, rel. 57
2θ 26.82, 3.324 Å, rel. 100
2θ 27.09, 3.292 Å, rel. 51
2θ 33.70, 2.660 Å, rel. 25
2θ 34.19, 2.623 Å, rel. 13
2θ 36.90, 2.436 Å, rel. 27
2θ 40.02, 2.253 Å, rel. 40
2θ 40.38, 2.233 Å, rel. 20
2θ 46.14, 1.967 Å, rel. 16
2θ 49.31, 1.848 Å, rel. 19

Structure:
```
Ac6ZnIr2I2
1.0
3.9149 -6.7003 0.0000
3.9149 6.7003 0.0000
-2.4052 0.0000 8.4284
Ac Zn Ir I
6 1 2 2
Cartesian
0.1004 2.3486 6.8191
1.1429 0.0000 1.5895
0.1004 -2.3486 6.8191
5.3243 2.3486 1.6092
4.2817 0.0000 6.8389
5.3243 -2.3486 1.6092
3.9149 0.0000 0.0000
3.9149 4.4381 0.0000
3.9149 -4.4381 0.0000
2.7123 2.1482 4.2142
2.7123 -2.1482 4.2142
```